Structure and calculated powder diffractogram of MgMn4NiO8 (a crystal structure in the Materials Project, relaxed with PBE+U; λ = 1.5418 Å (Cu Kα)).

Main lines, in order of rising 2θ (2θ from 15° to 90°):
two_theta, I (rel.)
17.8, 80
18.0, 29
34.4, 12
36.0, 16
36.5, 28
36.8, 13
41.3, 100
44.3, 42
59.2, 13
60.5, 14
62.2, 12
62.7, 12

Structure:
```
data_MgMn4NiO8
_chemical_formula_sum 'Mg1 Mn4 Ni1 O8'
_cell_length_a 5.9383
_cell_length_b 5.9816
_cell_length_c 5.9967
_cell_angle_alpha 93.80
_cell_angle_beta 116.97
_cell_angle_gamma 118.25
_space_group_name_H-M_alt 'P -1'
_space_group_IT_number 2
loop_
_space_group_symop_operation_xyz
'x,y,z'
'-x,-y,-z'
loop_
_atom_site_label
_atom_site_fract_x
_atom_site_fract_y
_atom_site_fract_z
Mg1 0.0000 0.0000 0.0000
Mn1 0.0000 0.0000 0.5000
Mn2 0.0000 0.5000 0.5000
Mn3 0.5000 0.0000 0.5000
Mn4 0.5000 0.5000 0.0000
Ni1 0.5000 0.5000 0.5000
O1 0.0125 0.2269 0.7559
O2 0.0226 0.2438 0.2997
O3 0.4441 0.2246 0.7034
O4 0.4666 0.7417 0.7188
```